This entry pairs a crystal structure of SrPtBr6 with its calculated powder diffraction line list. Radiation: CuKα. Structure: the PBE geometry in Alexandria.
Kinematic intensities with the Lorentz-polarization factor, no thermal factor.

Crystal structure
```
data_SrPtBr6
_chemical_formula_sum 'Sr4 Pt4 Br24'
_cell_length_a 11.277
_cell_length_b 8.580
_cell_length_c 10.830
_cell_angle_alpha 90.00
_cell_angle_beta 90.17
_cell_angle_gamma 90.00
_space_group_name_H-M_alt 'C 1 2/c 1'
_space_group_IT_number 15
_space_group_name_Hall '-C 2yc'
loop_
_atom_site_label
_atom_site_type_symbol
_atom_site_fract_x
_atom_site_fract_y
_atom_site_fract_z
Sr1 Sr 0.000 0.013 0.250
Pt1 Pt 0.250 0.250 0.000
Br1 Br 0.064 0.325 0.111
Br2 Br 0.150 0.296 0.797
Br3 Br 0.176 0.027 0.498
```

Largest 6 diffraction maxima, in order of falling intensity, 2θ from 10° to 80°:
2θ (°)  I (rel.)  (hkl)
15.34  100  1 1 1
22.77  33  2 0 2
30.76  27  3 1 -2
41.79  25  4 2 -2
33.36  23  1 3 -1
32.29  19  1 3 0

This entry pairs a crystal structure of Dy4GaGeN with its calculated powder diffraction line list. Radiation: CuKα. Structure: the PBE geometry in Alexandria.
Kinematic intensities with the Lorentz-polarization factor, no thermal factor.

Crystal structure
```
data_Dy4GaGeN
_chemical_formula_sum 'Dy16 Ga4 Ge4 N4'
_cell_length_a 6.520
_cell_length_b 15.338
_cell_length_c 6.518
_cell_angle_alpha 90.00
_cell_angle_beta 90.00
_cell_angle_gamma 90.00
_space_group_name_H-M_alt 'C m c m'
_space_group_IT_number 63
_space_group_name_Hall '-C 2c 2'
loop_
_atom_site_label
_atom_site_type_symbol
_atom_site_fract_x
_atom_site_fract_y
_atom_site_fract_z
Dy1 Dy 0.000 0.081 0.250
Dy2 Dy 0.000 0.418 0.250
Dy3 Dy 0.250 0.250 0.000
Ga1 Ga 0.000 0.114 0.750
Ge1 Ge 0.000 0.388 0.750
N1 N 0.000 0.252 0.250
```

Largest 6 diffraction maxima, in order of falling intensity, 2θ from 10° to 80°:
2θ (°)  I (rel.)  (hkl)
29.78  100  2 2 0
36.17  86  2 4 0
39.08  63  2 0 2
35.12  51  0 6 0
53.54  50  2 6 2
68.91  26  4 4 2